# Tm3TlGa
Theoretical powder diffraction line list, CuKα. Input: a PBE-relaxed structure.

Top 12 peaks for 2θ from 5° to 70°, by intensity:
2.833 Å, intensity 100.0; 1.562 Å, intensity 31.3; 1.937 Å, intensity 23.0; 2.077 Å, intensity 21.1; 2.645 Å, intensity 16.5; 3.354 Å, intensity 16.1; 1.599 Å, intensity 14.1; 2.536 Å, intensity 8.6; 2.060 Å, intensity 7.8; 3.873 Å, intensity 5.8; 2.461 Å, intensity 5.6; 2.286 Å, intensity 5.1

```
Tm3TlGa
1.0
7.7463 0.0000 0.0000
-3.8732 6.7085 0.0000
0.0000 0.0000 5.2899
Tm Tl Ga
6 2 2
Direct
0.1881 0.3762 0.2500
0.1881 0.8119 0.2500
0.3762 0.1881 0.7500
0.6238 0.8119 0.2500
0.8119 0.1881 0.7500
0.8119 0.6238 0.7500
0.3333 0.6667 0.7500
0.6667 0.3333 0.2500
0.0000 0.0000 0.0000
0.0000 0.0000 0.5000
```


# YAuSe2
Theoretical powder diffraction line list, CuKα. Input: a PBE-relaxed structure.

Top 12 peaks for 2θ from 5° to 70°, by intensity:
3.239 Å, intensity 100.0; 2.467 Å, intensity 86.6; 2.147 Å, intensity 74.8; 3.719 Å, intensity 59.9; 1.892 Å, intensity 43.2; 6.594 Å, intensity 36.9; 1.620 Å, intensity 23.8; 1.799 Å, intensity 22.4; 3.297 Å, intensity 20.5; 1.790 Å, intensity 18.3; 1.420 Å, intensity 16.9; 1.375 Å, intensity 15.4

```
YAuSe2
1.0
4.2941 0.0000 0.0000
-2.1470 3.7188 0.0000
0.0000 0.0000 6.5938
Y Au Se
1 1 2
Direct
0.0000 0.0000 0.0000
0.3333 0.6667 0.3849
0.3333 0.6667 0.7815
0.6667 0.3333 0.2452
```


# Ta2MoN
Theoretical powder diffraction line list, CuKα. Input: a PBE-relaxed structure.

Top 12 peaks for 2θ from 5° to 70°, by intensity:
2.725 Å, intensity 100.0; 2.549 Å, intensity 78.2; 1.522 Å, intensity 21.8; 1.958 Å, intensity 20.9; 1.373 Å, intensity 19.3; 2.163 Å, intensity 18.0; 1.649 Å, intensity 17.1; 1.778 Å, intensity 14.7; 1.694 Å, intensity 13.9; 3.058 Å, intensity 13.5; 2.185 Å, intensity 12.1; 1.402 Å, intensity 10.3

```
Ta2MoN
1.0
-3.0584 3.0584 3.5099
3.0584 -3.0584 3.5099
3.0584 3.0584 -3.5099
Ta Mo N
4 2 2
Direct
0.0367 0.1250 0.4117
0.3750 0.9633 0.0883
0.7133 0.6250 0.5883
0.8750 0.2867 0.9117
0.2500 0.7500 0.5000
0.5000 0.5000 0.0000
0.0000 0.0000 0.0000
0.7500 0.2500 0.5000
```


# Er5AlFe2
Theoretical powder diffraction line list, CuKα. Input: a PBE-relaxed structure.

Top 12 peaks for 2θ from 5° to 70°, by intensity:
2.681 Å, intensity 100.0; 2.533 Å, intensity 71.5; 3.184 Å, intensity 41.5; 2.312 Å, intensity 41.4; 1.758 Å, intensity 34.6; 1.547 Å, intensity 27.3; 1.658 Å, intensity 21.5; 2.585 Å, intensity 19.9; 2.131 Å, intensity 18.5; 3.243 Å, intensity 18.1; 1.711 Å, intensity 17.7; 2.906 Å, intensity 17.4

```
Er5AlFe2
1.0
-3.6551 3.6551 7.0273
3.6551 -3.6551 7.0273
3.6551 3.6551 -7.0273
Er Al Fe
10 2 4
Direct
0.0000 0.0000 0.0000
0.0406 0.5406 0.8524
0.1882 0.0406 0.5000
0.3118 0.8118 0.8524
0.4594 0.3118 0.5000
0.5000 0.5000 0.0000
0.5406 0.6882 0.5000
0.6882 0.1882 0.1476
0.8118 0.9594 0.5000
0.9594 0.4594 0.1476
0.2500 0.2500 0.0000
0.7500 0.7500 0.0000
0.1064 0.3936 0.5000
0.3936 0.8936 0.2872
0.6064 0.1064 0.7128
0.8936 0.6064 0.5000
```


# Pu3SeBr7
Theoretical powder diffraction line list, CuKα. Input: a PBE-relaxed structure.

Top 12 peaks for 2θ from 5° to 70°, by intensity:
3.247 Å, intensity 100.0; 6.818 Å, intensity 77.2; 2.505 Å, intensity 70.2; 2.132 Å, intensity 37.8; 1.935 Å, intensity 29.9; 7.387 Å, intensity 29.1; 2.035 Å, intensity 22.6; 5.010 Å, intensity 21.5; 1.624 Å, intensity 18.6; 1.782 Å, intensity 17.8; 1.368 Å, intensity 14.6; 3.693 Å, intensity 12.2

```
Pu3SeBr7
1.0
8.5295 0.0000 0.0000
-4.2648 7.3868 0.0000
0.0000 0.0000 6.8175
Pu Se Br
3 1 7
Direct
0.0077 0.5039 0.0000
0.4961 0.5039 0.0000
0.4961 0.9923 0.0000
0.3333 0.6667 0.7841
0.1721 0.3442 0.2332
0.1721 0.8279 0.2332
0.3483 0.1742 0.7752
0.6558 0.8279 0.2332
0.6667 0.3333 0.2408
0.8258 0.1742 0.7752
0.8258 0.6517 0.7752
```


# Na3CuF6
Theoretical powder diffraction line list, CuKα. Input: a PBE-relaxed structure.

Top 12 peaks for 2θ from 5° to 70°, by intensity:
2.847 Å, intensity 100.0; 4.649 Å, intensity 76.4; 1.821 Å, intensity 37.9; 5.078 Å, intensity 36.3; 3.155 Å, intensity 32.9; 2.013 Å, intensity 31.0; 1.644 Å, intensity 30.7; 4.026 Å, intensity 24.7; 2.042 Å, intensity 21.0; 1.847 Å, intensity 12.1; 1.719 Å, intensity 11.9; 2.539 Å, intensity 10.5

```
Na3CuF6
1.0
0.0000 4.0257 5.0778
3.4385 0.0000 5.0778
3.4385 4.0257 0.0000
Na Cu F
3 1 6
Direct
0.0000 0.0000 0.0000
0.2500 0.2500 0.2500
0.7500 0.7500 0.7500
0.5000 0.5000 0.5000
0.1649 0.5728 0.8351
0.2639 0.7361 0.2639
0.4272 0.8351 0.5728
0.5728 0.1649 0.4272
0.7361 0.2639 0.7361
0.8351 0.4272 0.1649
```


# EuMgIn4
Theoretical powder diffraction line list, CuKα. Input: a PBE-relaxed structure.

Top 12 peaks for 2θ from 5° to 70°, by intensity:
2.629 Å, intensity 100.0; 2.517 Å, intensity 50.3; 1.678 Å, intensity 33.6; 1.541 Å, intensity 28.5; 5.034 Å, intensity 24.2; 3.082 Å, intensity 17.7; 4.359 Å, intensity 10.3; 2.180 Å, intensity 8.8; 1.780 Å, intensity 7.2; 2.000 Å, intensity 6.3; 1.950 Å, intensity 4.9; 1.474 Å, intensity 4.6

```
EuMgIn4
1.0
0.0000 4.3593 4.3593
4.3593 0.0000 4.3593
4.3593 4.3593 0.0000
Eu Mg In
1 1 4
Direct
0.0000 0.0000 0.0000
0.2500 0.2500 0.2500
0.1251 0.6250 0.6250
0.6250 0.1251 0.6250
0.6250 0.6250 0.1251
0.6250 0.6250 0.6250
```


# NaCdCl2
Theoretical powder diffraction line list, CuKα. Input: a PBE-relaxed structure.

Top 12 peaks for 2θ from 5° to 70°, by intensity:
7.869 Å, intensity 100.0; 3.777 Å, intensity 90.2; 3.046 Å, intensity 55.3; 2.302 Å, intensity 41.9; 2.372 Å, intensity 34.8; 2.031 Å, intensity 26.4; 2.209 Å, intensity 24.5; 1.495 Å, intensity 18.2; 1.652 Å, intensity 17.2; 1.966 Å, intensity 17.1; 3.934 Å, intensity 15.1; 3.304 Å, intensity 13.9

```
NaCdCl2
1.0
2.3018 1.3289 7.8695
-2.3018 1.3289 7.8695
0.0000 -2.6579 7.8695
Na Cd Cl
1 1 2
Direct
0.0000 0.0000 0.0000
0.5000 0.5000 0.5000
0.1069 0.1069 0.1069
0.8931 0.8931 0.8931
```


# BaSr2NbN4
Theoretical powder diffraction line list, CuKα. Input: a PBE-relaxed structure.

Top 12 peaks for 2θ from 5° to 70°, by intensity:
3.052 Å, intensity 100.0; 3.002 Å, intensity 44.3; 3.030 Å, intensity 43.5; 3.533 Å, intensity 36.5; 2.010 Å, intensity 26.6; 1.675 Å, intensity 25.9; 1.753 Å, intensity 25.0; 2.300 Å, intensity 19.5; 3.456 Å, intensity 18.9; 1.696 Å, intensity 17.9; 2.055 Å, intensity 15.2; 1.701 Å, intensity 14.6

```
BaSr2NbN4
1.0
8.2213 0.0000 0.0000
0.0000 6.9130 0.0000
0.0000 0.0000 6.0597
Ba Sr Nb N
2 4 2 8
Direct
0.0000 0.1503 0.0000
0.5000 0.8497 0.5000
0.2455 0.3271 0.5065
0.2545 0.6729 0.0065
0.7455 0.6729 0.0065
0.7545 0.3271 0.5065
0.0000 0.8149 0.5281
0.5000 0.1851 0.0281
0.0000 0.0971 0.4613
0.0000 0.7985 0.8482
0.2022 0.6845 0.4243
0.2978 0.3155 0.9243
0.5000 0.2015 0.3482
0.5000 0.9029 0.9613
0.7022 0.3155 0.9243
0.7978 0.6845 0.4243
```


# AcHo2Tl2Zn2
Theoretical powder diffraction line list, CuKα. Input: a PBE-relaxed structure.

Top 12 peaks for 2θ from 5° to 70°, by intensity:
2.446 Å, intensity 100.0; 2.892 Å, intensity 83.7; 2.681 Å, intensity 57.4; 4.187 Å, intensity 25.9; 1.867 Å, intensity 23.9; 3.613 Å, intensity 23.2; 1.484 Å, intensity 22.6; 1.474 Å, intensity 20.3; 1.807 Å, intensity 18.5; 1.453 Å, intensity 18.4; 1.412 Å, intensity 18.1; 2.318 Å, intensity 14.4

```
AcHo2Tl2Zn2
1.0
2.4456 1.4119 9.2336
-2.4456 1.4119 9.2336
0.0000 -2.8239 9.2336
Ac Ho Tl Zn
1 2 2 2
Direct
0.0000 0.0000 0.0000
0.1353 0.1353 0.1353
0.8647 0.8647 0.8647
0.2588 0.2588 0.2588
0.7412 0.7412 0.7412
0.4433 0.4433 0.4433
0.5567 0.5567 0.5567
```


# MgMn4Tc
Theoretical powder diffraction line list, CuKα. Input: a PBE-relaxed structure.

Top 9 peaks for 2θ from 5° to 70°, by intensity:
2.021 Å, intensity 100.0; 1.935 Å, intensity 36.8; 2.370 Å, intensity 30.3; 3.870 Å, intensity 15.7; 3.352 Å, intensity 14.2; 1.368 Å, intensity 10.1; 1.499 Å, intensity 4.8; 1.538 Å, intensity 3.1; 1.676 Å, intensity 2.6

```
MgMn4Tc
1.0
0.0000 3.3519 3.3519
3.3519 0.0000 3.3519
3.3519 3.3519 0.0000
Mg Mn Tc
1 4 1
Direct
0.0000 0.0000 0.0000
0.1240 0.6253 0.6253
0.6253 0.1240 0.6253
0.6253 0.6253 0.1240
0.6253 0.6253 0.6253
0.2500 0.2500 0.2500
```


# Pr3In7Ni4
Theoretical powder diffraction line list, CuKα. Input: a PBE-relaxed structure.

Top 12 peaks for 2θ from 5° to 70°, by intensity:
2.644 Å, intensity 100.0; 2.729 Å, intensity 86.7; 2.212 Å, intensity 53.0; 2.292 Å, intensity 37.7; 2.661 Å, intensity 30.0; 1.592 Å, intensity 24.3; 2.497 Å, intensity 18.7; 2.448 Å, intensity 18.6; 1.454 Å, intensity 18.1; 2.631 Å, intensity 17.1; 2.764 Å, intensity 16.5; 3.184 Å, intensity 13.8

```
Pr3In7Ni4
1.0
8.3004 -2.2123 0.0000
8.3004 2.2123 0.0000
-5.6029 0.0000 8.2861
Pr In Ni
3 7 4
Direct
0.0000 0.0000 0.0000
0.3116 0.3116 0.3015
0.6884 0.6884 0.6985
0.0000 0.0000 0.5000
0.1644 0.1644 0.4247
0.3178 0.3178 0.9688
0.4933 0.4933 0.7219
0.5067 0.5067 0.2781
0.6822 0.6822 0.0312
0.8356 0.8356 0.5753
0.1184 0.1184 0.8404
0.3347 0.3347 0.7223
0.6653 0.6653 0.2777
0.8816 0.8816 0.1596
```